[1]
Structure and theoretical powder X-ray diffraction pattern of SrLu2O4 (a structure optimized by DFT (GGA-PBE); Cu Kα (λ = 1.5418 Å)).
Intensities are scaled so that the largest is 100.

Structure:
Lattice parameters (Å, degrees): 10.011 3.346 11.781 90.00 90.00 90.00
Fractional coordinates of all 28 atoms:
Sr 0.246 0.250 0.150
Sr 0.254 0.750 0.650
Sr 0.746 0.250 0.350
Sr 0.754 0.750 0.850
Lu 0.073 0.250 0.388
Lu 0.079 0.250 0.891
Lu 0.421 0.750 0.391
Lu 0.427 0.750 0.888
Lu 0.573 0.250 0.112
Lu 0.579 0.250 0.609
Lu 0.921 0.750 0.109
Lu 0.927 0.750 0.612
O 0.019 0.750 0.783
O 0.075 0.250 0.575
O 0.121 0.750 0.020
O 0.209 0.750 0.330
O 0.291 0.250 0.830
O 0.379 0.250 0.520
O 0.425 0.750 0.075
O 0.481 0.250 0.283
O 0.519 0.750 0.717
O 0.575 0.250 0.925
O 0.621 0.750 0.480
O 0.709 0.750 0.170
O 0.791 0.250 0.670
O 0.879 0.250 0.980
O 0.925 0.750 0.425
O 0.981 0.250 0.217

Main lines, sorted by position (2θ = 10–80°):
- d 5.006, I 19
- d 2.945, I 48
- d 2.904, I 100
- d 2.794, I 90
- d 2.782, I 42
- d 2.023, I 41
- d 2.004, I 25
- d 1.669, I 30
- d 1.657, I 26
- d 1.450, I 25

=====

[2]
Structure and theoretical powder X-ray diffraction pattern of Lu2Te4O11 (a structure optimized by DFT (GGA-PBE); Cu Kα (λ = 1.5418 Å)).
Intensities are scaled so that the largest is 100.

Structure:
Lattice parameters (Å, degrees): 6.681 6.681 16.150 104.24 104.24 44.91
Fractional coordinates of all 34 atoms:
Lu 0.129 0.631 0.963
Lu 0.369 0.871 0.537
Lu 0.631 0.129 0.463
Lu 0.871 0.369 0.037
Te 0.156 0.590 0.625
Te 0.157 0.597 0.303
Te 0.403 0.843 0.197
Te 0.410 0.844 0.875
Te 0.590 0.156 0.125
Te 0.597 0.157 0.803
Te 0.843 0.403 0.697
Te 0.844 0.410 0.375
O 0.033 0.830 0.543
O 0.088 0.210 0.165
O 0.143 0.857 0.250
O 0.170 0.967 0.957
O 0.193 0.314 0.373
O 0.210 0.088 0.665
O 0.243 0.342 0.051
O 0.314 0.193 0.873
O 0.342 0.243 0.551
O 0.404 0.548 0.406
O 0.452 0.596 0.094
O 0.548 0.404 0.906
O 0.596 0.452 0.594
O 0.658 0.757 0.449
O 0.686 0.807 0.127
O 0.757 0.658 0.949
O 0.790 0.912 0.335
O 0.807 0.686 0.627
O 0.830 0.033 0.043
O 0.857 0.143 0.750
O 0.912 0.790 0.835
O 0.967 0.170 0.457

Main lines, sorted by position (2θ = 10–80°):
- d 3.311, I 100
- d 2.974, I 100
- d 2.651, I 21
- d 2.552, I 18
- d 2.176, I 15
- d 1.937, I 22
- d 1.840, I 36
- d 1.681, I 13
- d 1.664, I 14
- d 1.543, I 20

=====

[3]
Structure and theoretical powder X-ray diffraction pattern of Lu2Te5O13 (a structure optimized by DFT (GGA-PBE); Cu Kα (λ = 1.5418 Å)).
Intensities are scaled so that the largest is 100.

Structure:
Lattice parameters (Å, degrees): 6.898 8.745 10.703 88.58 86.94 74.58
Fractional coordinates of all 40 atoms:
Lu 0.002 0.243 0.241
Lu 0.449 0.969 0.819
Lu 0.551 0.031 0.181
Lu 0.998 0.757 0.759
Te 0.127 0.854 0.105
Te 0.159 0.302 0.643
Te 0.271 0.896 0.488
Te 0.290 0.375 0.977
Te 0.442 0.402 0.300
Te 0.558 0.598 0.700
Te 0.710 0.625 0.023
Te 0.729 0.104 0.512
Te 0.841 0.698 0.357
Te 0.873 0.146 0.895
O 0.039 0.852 0.569
O 0.055 0.320 0.043
O 0.068 0.765 0.276
O 0.071 0.517 0.692
O 0.132 0.993 0.899
O 0.232 0.003 0.187
O 0.315 0.237 0.284
O 0.321 0.730 0.777
O 0.337 0.234 0.775
O 0.340 0.012 0.620
O 0.351 0.484 0.122
O 0.462 0.694 0.520
O 0.471 0.169 0.003
O 0.529 0.831 0.997
O 0.538 0.306 0.480
O 0.649 0.516 0.878
O 0.660 0.988 0.380
O 0.663 0.766 0.225
O 0.679 0.270 0.223
O 0.685 0.763 0.716
O 0.768 0.997 0.813
O 0.868 0.007 0.101
O 0.929 0.483 0.308
O 0.932 0.235 0.724
O 0.945 0.680 0.957
O 0.961 0.148 0.431

Main lines, sorted by position (2θ = 10–80°):
- d 3.309, I 50
- d 3.268, I 49
- d 3.199, I 100
- d 2.884, I 33
- d 2.791, I 24
- d 2.755, I 24
- d 2.002, I 14
- d 1.966, I 24
- d 1.710, I 13
- d 1.701, I 14

=====

[4]
Structure and theoretical powder X-ray diffraction pattern of Lu2TiO5 (a structure optimized by DFT (GGA-PBE); Cu Kα (λ = 1.5418 Å)).
Intensities are scaled so that the largest is 100.

Structure:
Lattice parameters (Å, degrees): 10.292 3.635 11.097 90.00 90.00 90.00
Fractional coordinates of all 32 atoms:
Lu 0.115 0.250 0.224
Lu 0.135 0.250 0.557
Lu 0.365 0.750 0.057
Lu 0.385 0.750 0.724
Lu 0.615 0.250 0.276
Lu 0.635 0.250 0.943
Lu 0.865 0.750 0.443
Lu 0.885 0.750 0.776
Ti 0.176 0.250 0.880
Ti 0.324 0.750 0.380
Ti 0.676 0.250 0.620
Ti 0.824 0.750 0.120
O 0.007 0.250 0.841
O 0.007 0.750 0.604
O 0.226 0.250 0.046
O 0.240 0.750 0.227
O 0.244 0.750 0.884
O 0.256 0.250 0.384
O 0.260 0.250 0.727
O 0.274 0.750 0.546
O 0.493 0.250 0.104
O 0.493 0.750 0.341
O 0.507 0.250 0.659
O 0.507 0.750 0.896
O 0.726 0.250 0.454
O 0.740 0.750 0.273
O 0.744 0.750 0.616
O 0.756 0.250 0.116
O 0.760 0.250 0.773
O 0.774 0.750 0.954
O 0.993 0.250 0.396
O 0.993 0.750 0.159

Main lines, sorted by position (2θ = 10–80°):
- d 7.546, I 31
- d 3.481, I 20
- d 3.004, I 78
- d 2.969, I 100
- d 2.593, I 39
- d 2.573, I 17
- d 2.515, I 19
- d 1.826, I 41
- d 1.819, I 31
- d 1.555, I 29

=====

[5]
Structure and theoretical powder X-ray diffraction pattern of Lu2TiO5 (a structure optimized by DFT (GGA-PBE); Cu Kα (λ = 1.5418 Å)).
Intensities are scaled so that the largest is 100.

Structure:
Lattice parameters (Å, degrees): 7.387 3.565 15.253 90.00 90.00 90.00
Fractional coordinates of all 32 atoms:
Lu 0.098 0.250 0.085
Lu 0.166 0.250 0.738
Lu 0.334 0.750 0.238
Lu 0.402 0.750 0.585
Lu 0.598 0.250 0.415
Lu 0.666 0.250 0.762
Lu 0.834 0.750 0.262
Lu 0.902 0.750 0.915
Ti 0.113 0.250 0.423
Ti 0.387 0.750 0.923
Ti 0.613 0.250 0.077
Ti 0.887 0.750 0.577
O 0.065 0.750 0.175
O 0.073 0.750 0.453
O 0.126 0.750 0.649
O 0.155 0.750 0.996
O 0.245 0.250 0.320
O 0.255 0.750 0.820
O 0.345 0.250 0.496
O 0.374 0.250 0.149
O 0.427 0.250 0.953
O 0.435 0.250 0.675
O 0.565 0.750 0.325
O 0.573 0.750 0.047
O 0.626 0.750 0.851
O 0.655 0.750 0.504
O 0.745 0.250 0.180
O 0.755 0.750 0.680
O 0.845 0.250 0.004
O 0.874 0.250 0.351
O 0.927 0.250 0.547
O 0.935 0.250 0.825

Main lines, sorted by position (2θ = 10–80°):
- d 6.649, I 27
- d 5.306, I 20
- d 2.988, I 94
- d 2.919, I 100
- d 2.565, I 45
- d 2.542, I 24
- d 2.212, I 16
- d 1.806, I 48
- d 1.782, I 18
- d 1.531, I 37